(1)
This entry pairs a crystal structure of NbFeO3 with its simulated powder diffractogram. Radiation: CuKα. Structure: a crystal structure in the Materials Project, relaxed with PBE+U.
Neutral-atom scattering factors, no anomalous dispersion.

Structure:
```
NbFeO3
1.0
4.004 0.000 0.000
0.000 4.004 0.000
0.000 0.000 4.004
Nb Fe O
1 1 3
Direct
0.000 0.000 0.000
0.500 0.500 0.500
0.000 0.000 0.500
0.000 0.500 0.000
0.500 0.000 0.000
```

Largest 8 diffraction maxima, by intensity, 10 to 90 degrees two-theta:
2θ (°), Rel. int.
31.60, 100.0
45.30, 37.9
56.28, 37.8
66.00, 21.6
22.20, 19.2
75.02, 15.7
51.01, 7.3
83.68, 7.0

(2)
This entry pairs a crystal structure of Na2V3Se6O6 with its simulated powder diffractogram. Radiation: CuKα. Structure: a crystal structure in the Materials Project, relaxed with PBE+U.
Neutral-atom scattering factors, no anomalous dispersion.

Structure:
```
Na2V3Se6O6
1.0
3.105 -5.369 0.000
3.105 5.369 0.000
-2.151 0.000 10.591
Na V Se O
2 3 6 6
Direct
0.225 0.775 0.000
0.775 0.225 0.000
0.166 0.834 0.500
0.500 0.500 0.500
0.834 0.166 0.500
0.122 0.122 0.355
0.220 0.554 0.646
0.446 0.780 0.354
0.554 0.220 0.646
0.780 0.446 0.354
0.878 0.878 0.645
0.200 0.409 0.023
0.224 0.224 0.962
0.409 0.200 0.023
0.591 0.800 0.977
0.776 0.776 0.038
0.800 0.591 0.977
```

Largest 8 diffraction maxima, by intensity, 10 to 90 degrees two-theta:
2θ (°), Rel. int.
32.07, 100.0
36.70, 63.9
25.23, 50.5
32.18, 50.2
51.80, 45.4
50.98, 39.0
36.88, 34.3
47.45, 33.6

(3)
This entry pairs a crystal structure of VO2F with its simulated powder diffractogram. Radiation: CuKα. Structure: a crystal structure in the Materials Project, relaxed with PBE+U.
Neutral-atom scattering factors, no anomalous dispersion.

Structure:
```
VO2F
1.0
5.103 0.000 0.000
2.533 4.481 0.000
0.007 0.313 13.030
V O F
6 12 6
Direct
0.000 0.000 0.000
0.012 0.968 0.495
0.240 0.364 0.331
0.323 0.361 0.831
0.591 0.740 0.168
0.675 0.644 0.664
0.034 0.263 0.412
0.195 0.082 0.916
0.217 0.670 0.417
0.270 0.930 0.581
0.276 0.753 0.084
0.359 0.596 0.748
0.371 0.010 0.251
0.608 0.262 0.914
0.691 0.925 0.083
0.860 0.758 0.582
0.943 0.422 0.748
0.960 0.589 0.247
0.018 0.673 0.915
0.539 0.008 0.749
0.547 0.418 0.249
0.621 0.090 0.415
0.683 0.345 0.582
0.880 0.334 0.080
```

Largest 8 diffraction maxima, by intensity, 10 to 90 degrees two-theta:
2θ (°), Rel. int.
24.42, 100.0
23.83, 49.4
33.95, 13.2
41.03, 10.8
48.78, 10.2
55.57, 9.6
50.12, 9.0
49.96, 8.7

(4)
This entry pairs a crystal structure of Sr10Mn5Zn9As10O10 with its simulated powder diffractogram. Radiation: CuKα. Structure: a crystal structure in the Materials Project, relaxed with PBE+U.
Neutral-atom scattering factors, no anomalous dispersion.

Structure:
```
Sr10Mn5Zn9As10O10
1.0
9.345 0.000 0.000
-3.176 9.278 0.000
-4.618 -2.031 11.103
Sr Mn Zn As O
10 5 9 10 10
Direct
0.000 0.000 0.000
0.026 0.472 0.312
0.353 0.313 0.853
0.393 0.960 0.428
0.450 0.164 0.186
0.490 0.781 0.800
0.765 0.270 0.624
0.794 0.614 0.854
0.828 0.096 0.424
0.915 0.771 0.229
0.175 0.469 0.622
0.194 0.778 0.155
0.550 0.514 0.133
0.736 0.425 0.409
0.770 0.873 0.660
0.005 0.655 0.662
0.133 0.133 0.293
0.224 0.407 0.132
0.242 0.971 0.684
0.290 0.734 0.974
0.443 0.414 0.595
0.522 0.624 0.351
0.629 0.121 0.003
0.965 0.379 0.968
0.103 0.510 0.828
0.184 0.739 0.560
0.226 0.155 0.548
0.319 0.977 0.911
0.333 0.387 0.355
0.508 0.773 0.189
0.668 0.249 0.837
0.700 0.598 0.565
0.729 0.404 0.038
0.823 0.056 0.173
0.166 0.721 0.299
0.221 0.008 0.223
0.348 0.334 0.059
0.423 0.516 0.732
0.613 0.202 0.397
0.703 0.012 0.566
0.762 0.527 0.271
0.767 0.852 0.818
0.949 0.368 0.496
0.967 0.761 0.044
```

Largest 8 diffraction maxima, by intensity, 10 to 90 degrees two-theta:
2θ (°), Rel. int.
28.97, 100.0
30.82, 86.0
31.93, 77.0
30.67, 58.1
40.84, 54.1
40.67, 52.7
35.64, 52.5
29.31, 52.3

(5)
This entry pairs a crystal structure of RbMg14WO16 with its simulated powder diffractogram. Radiation: CuKα. Structure: a crystal structure in the Materials Project, relaxed with PBE+U.
Neutral-atom scattering factors, no anomalous dispersion.

Structure:
```
RbMg14WO16
1.0
4.457 0.000 0.000
0.000 8.675 0.000
0.000 0.000 8.864
Rb Mg W O
1 14 1 16
Direct
0.000 0.000 0.000
0.000 0.257 0.245
0.000 0.257 0.755
0.000 0.500 0.000
0.000 0.500 0.500
0.000 0.743 0.245
0.000 0.743 0.755
0.500 0.000 0.241
0.500 0.000 0.759
0.500 0.255 0.000
0.500 0.257 0.500
0.500 0.500 0.249
0.500 0.500 0.751
0.500 0.743 0.500
0.500 0.745 0.000
0.000 0.000 0.500
0.000 0.000 0.268
0.000 0.000 0.732
0.000 0.254 0.500
0.000 0.281 0.000
0.000 0.500 0.260
0.000 0.500 0.740
0.000 0.719 0.000
0.000 0.746 0.500
0.500 0.000 0.000
0.500 0.000 0.500
0.500 0.250 0.252
0.500 0.250 0.748
0.500 0.500 0.000
0.500 0.500 0.500
0.500 0.750 0.252
0.500 0.750 0.748
```

Largest 8 diffraction maxima, by intensity, 10 to 90 degrees two-theta:
2θ (°), Rel. int.
10.20, 100.0
35.27, 76.6
40.47, 76.6
40.72, 74.1
41.64, 68.2
28.76, 47.4
58.76, 45.0
59.47, 42.7

(6)
This entry pairs a crystal structure of Li5FeO4F with its simulated powder diffractogram. Radiation: CuKα. Structure: a crystal structure in the Materials Project, relaxed with PBE+U.
Neutral-atom scattering factors, no anomalous dispersion.

Structure:
```
Li5FeO4F
1.0
5.211 0.000 0.000
0.000 8.912 0.000
-2.047 0.000 4.848
Li Fe O F
10 2 8 2
Direct
0.187 0.000 0.032
0.190 0.710 0.918
0.238 0.815 0.424
0.294 0.189 0.488
0.300 0.298 0.028
0.700 0.798 0.972
0.706 0.689 0.512
0.762 0.315 0.576
0.810 0.210 0.082
0.813 0.500 0.968
0.241 0.486 0.568
0.759 0.986 0.432
0.056 0.015 0.340
0.095 0.366 0.269
0.438 0.658 0.709
0.496 0.845 0.217
0.504 0.345 0.783
0.562 0.158 0.291
0.905 0.866 0.731
0.944 0.515 0.660
0.000 0.174 0.821
0.000 0.674 0.179
```

Largest 8 diffraction maxima, by intensity, 10 to 90 degrees two-theta:
2θ (°), Rel. int.
22.69, 100.0
21.02, 77.4
43.66, 60.2
27.18, 49.9
18.30, 45.6
20.86, 40.7
41.38, 27.0
34.66, 22.6

(7)
This entry pairs a crystal structure of Li9Co7O16 with its simulated powder diffractogram. Radiation: CuKα. Structure: a crystal structure in the Materials Project, relaxed with PBE+U.
Neutral-atom scattering factors, no anomalous dispersion.

Structure:
```
Li9Co7O16
1.0
2.947 0.000 0.000
-1.449 7.663 0.000
-0.008 -0.201 12.573
Li Co O
9 7 16
Direct
0.000 0.000 0.000
0.063 0.127 0.689
0.180 0.364 0.058
0.312 0.625 0.438
0.438 0.876 0.820
0.562 0.124 0.180
0.688 0.375 0.562
0.820 0.636 0.942
0.937 0.873 0.311
0.125 0.250 0.372
0.248 0.495 0.750
0.370 0.756 0.121
0.500 0.000 0.500
0.630 0.244 0.879
0.752 0.505 0.250
0.875 0.750 0.628
0.040 0.089 0.848
0.093 0.183 0.523
0.159 0.319 0.222
0.216 0.414 0.898
0.283 0.564 0.602
0.339 0.684 0.271
0.403 0.802 0.982
0.464 0.932 0.651
0.536 0.068 0.349
0.597 0.198 0.018
0.661 0.316 0.729
0.717 0.436 0.398
0.784 0.586 0.102
0.841 0.681 0.778
0.907 0.817 0.477
0.960 0.911 0.152
```

Largest 8 diffraction maxima, by intensity, 10 to 90 degrees two-theta:
2θ (°), Rel. int.
18.40, 100.0
43.21, 28.7
43.34, 28.1
44.65, 25.0
35.79, 15.6
63.58, 14.7
35.89, 14.5
36.69, 12.1